Starting from a cell relaxed with PBE, the X-ray diffraction stick pattern of Ce3SnOs was computed for a wavelength of 1.5418 Å.
Peak positions follow from Bragg's law for the DFT cell and can differ from measured ones.

Peak list (10 most intense, 10° ≤ 2θ ≤ 80°, in order of falling intensity)
hkl, Position (°2θ), Rel. int.
2 1 2, 30.40, 100
1 1 4, 39.61, 75
0 2 0, 41.89, 67
3 1 2, 34.95, 63
4 0 2, 34.56, 50
1 1 2, 27.35, 49
0 1 1, 22.13, 38
4 1 1, 37.90, 36
3 0 2, 27.93, 27
4 2 2, 55.40, 26

Structural model:
```
data_Ce3SnOs
_space_group_name_H-M_alt 'P n m a'
_space_group_IT_number 62
_space_group_name_Hall '-P 2ac 2n'
_cell_length_a 11.773
_cell_length_b 4.312
_cell_length_c 11.003
_cell_angle_alpha 90.00
_cell_angle_beta 90.00
_cell_angle_gamma 90.00
loop_
_atom_site_label
_atom_site_type_symbol
_atom_site_fract_x
_atom_site_fract_y
_atom_site_fract_z
Ce1 Ce 0.046 0.250 0.171
Ce2 Ce 0.112 0.750 0.543
Ce3 Ce 0.221 0.250 0.789
Sn1 Sn 0.179 0.750 0.004
Os1 Os 0.001 0.250 0.676
```


Starting from a cell relaxed with PBE, the X-ray diffraction stick pattern of K2Na4Cd was computed for a wavelength of 1.5418 Å.
Peak positions follow from Bragg's law for the DFT cell and can differ from measured ones.

Peak list (10 most intense, 10° ≤ 2θ ≤ 80°, in order of falling intensity)
hkl, Position (°2θ), Rel. int.
1 3 1, 25.95, 100
1 3 3, 32.02, 90
1 1 1, 16.03, 62
2 0 2, 28.91, 49
0 0 2, 13.01, 44
0 0 4, 26.20, 39
2 0 0, 25.70, 32
3 3 3, 49.46, 25
2 2 2, 32.39, 24
2 6 0, 51.52, 23

Structural model:
```
data_K2Na4Cd
_space_group_name_H-M_alt 'P b c a'
_space_group_IT_number 61
_space_group_name_Hall '-P 2ac 2ab'
_cell_length_a 6.932
_cell_length_b 12.395
_cell_length_c 13.606
_cell_angle_alpha 90.00
_cell_angle_beta 90.00
_cell_angle_gamma 90.00
loop_
_atom_site_label
_atom_site_type_symbol
_atom_site_fract_x
_atom_site_fract_y
_atom_site_fract_z
K1 K 0.001 0.160 0.034
Na1 Na 0.002 0.153 0.308
Na2 Na 0.248 0.091 0.748
Cd1 Cd 0.000 0.000 0.500
```


Starting from a cell relaxed with PBE, the X-ray diffraction stick pattern of Tb2Y4Se9 was computed for a wavelength of 1.5418 Å.
Peak positions follow from Bragg's law for the DFT cell and can differ from measured ones.

Peak list (10 most intense, 10° ≤ 2θ ≤ 80°, in order of falling intensity)
hkl, Position (°2θ), Rel. int.
1 2 6, 37.21, 100
2 1 3, 28.27, 90
3 3 0, 43.42, 67
1 1 -4, 23.12, 44
1 1 2, 16.84, 41
0 2 -4, 34.06, 33
2 -1 4, 42.51, 29
2 4 6, 58.48, 25
4 5 6, 75.58, 21
1 2 9, 49.01, 19

Structural model:
```
data_Tb2Y4Se9
_space_group_name_H-M_alt 'P -1'
_space_group_IT_number 2
_space_group_name_Hall '-P 1'
_cell_length_a 7.217
_cell_length_b 7.219
_cell_length_c 19.516
_cell_angle_alpha 89.99
_cell_angle_beta 89.97
_cell_angle_gamma 60.03
loop_
_atom_site_label
_atom_site_type_symbol
_atom_site_fract_x
_atom_site_fract_y
_atom_site_fract_z
Tb1 Tb 0.000 0.001 0.152
Tb2 Tb 0.001 0.999 0.348
Y1 Y 0.332 0.334 0.819
Y2 Y 0.333 0.333 0.015
Y3 Y 0.334 0.333 0.319
Y4 Y 0.334 0.333 0.514
Se1 Se 0.001 0.305 0.250
Se2 Se 0.028 0.637 0.417
Se3 Se 0.029 0.333 0.917
Se4 Se 0.305 0.000 0.750
Se5 Se 0.305 0.694 0.250
Se6 Se 0.335 0.027 0.417
Se7 Se 0.335 0.637 0.917
Se8 Se 0.361 0.666 0.583
Se9 Se 0.364 0.971 0.083
```